The following is a simulated X-ray diffraction stick pattern of DyZn2Au2. It was derived from a DFT-relaxed cell (GGA-PBE, Alexandria), using Cu Ka.
Lines closer than 0.1° are merged.

Largest 6 diffraction maxima, by angle, 2θ from 10° to 90°:
d_spacing	2θ (°)	I/Imax
3.166	28.2	303
2.736	32.7	460
2.546	35.2	1000
2.352	38.3	691
2.139	42.3	529
2.062	43.9	336

Cell and atoms:
```
data_DyZn2Au2
_chemical_formula_sum 'Dy4 Zn8 Au8'
_symmetry_space_group_name_H-M 'P 1'
_symmetry_Int_Tables_number 1
_symmetry_space_group_name_Hall 'P 1'
_cell_length_a 7.4236
_cell_length_b 4.2775
_cell_length_c 12.1731
_cell_angle_alpha 90.00
_cell_angle_beta 90.00
_cell_angle_gamma 90.00
loop_
_atom_site_label
_atom_site_type_symbol
_atom_site_fract_x
_atom_site_fract_y
_atom_site_fract_z
_atom_site_occupancy
Dy1 Dy 0.1313 0.2500 0.1875 1
Dy2 Dy 0.3687 0.7500 0.6875 1
Dy3 Dy 0.6313 0.2500 0.3125 1
Dy4 Dy 0.8687 0.7500 0.8125 1
Zn1 Zn 0.0362 0.2500 0.4397 1
Zn2 Zn 0.2057 0.2500 0.8738 1
Zn3 Zn 0.2943 0.7500 0.3738 1
Zn4 Zn 0.4638 0.7500 0.9397 1
Zn5 Zn 0.5362 0.2500 0.0603 1
Zn6 Zn 0.7057 0.2500 0.6262 1
Zn7 Zn 0.7943 0.7500 0.1262 1
Zn8 Zn 0.9638 0.7500 0.5603 1
Au1 Au 0.0718 0.2500 0.6718 1
Au2 Au 0.1289 0.7500 0.0017 1
Au3 Au 0.3711 0.2500 0.5017 1
Au4 Au 0.4282 0.7500 0.1718 1
Au5 Au 0.5718 0.2500 0.8282 1
Au6 Au 0.6289 0.7500 0.4983 1
Au7 Au 0.8711 0.2500 0.9983 1
Au8 Au 0.9282 0.7500 0.3282 1
```